The following is a simulated powder XRD pattern of BaMnBe2F8. It was derived from a GGA+U-relaxed structure, using Cu Kα (weighted mean of Kα1 and Kα2).
Lines closer than 0.1° are merged.

Most intense lines, 2θ = 10–90°, sorted by position:
- 2θ = 19.61°, intensity 100.0
- 2θ = 21.39°, intensity 62.2
- 2θ = 22.52°, intensity 28.4
- 2θ = 23.01°, intensity 34.8
- 2θ = 29.45°, intensity 56.9
- 2θ = 30.60°, intensity 48.9
- 2θ = 36.46°, intensity 39.9
- 2θ = 40.48°, intensity 47.0

Crystal structure
a = 8.329 Å, b = 5.399 Å, c = 7.915 Å
α = 90.00°, β = 93.97°, γ = 90.00°
Space group C2/m (No. 12)
Inequivalent atoms, fractional coordinates:
Ba1 0.000 0.000 0.000
Mn1 0.000 0.000 0.500
Be1 0.128 0.500 0.277
F1 0.022 0.260 0.290
F2 0.189 0.500 0.093
F3 0.242 0.000 0.578